Starting from a PBE-relaxed structure, the X-ray diffraction stick pattern of La3TbP4O16 was simulated for λ = 1.5418 Å (Cu Kα).

Principal peaks in the range 10° ≤ 2θ ≤ 80°, by angle:
d/Å, I_rel
4.236, 22
4.201, 23
3.540, 21
3.334, 58
3.124, 100
2.899, 45
2.872, 42
2.628, 23
2.163, 43
1.882, 19

Structure:
```
data_La3TbP4O16
_symmetry_space_group_name_H-M 'P 1'
_symmetry_Int_Tables_number 1
_cell_length_a 6.5077
_cell_length_b 6.8669
_cell_length_c 7.0739
_cell_angle_alpha 89.95
_cell_angle_beta 89.30
_cell_angle_gamma 76.20
loop_
_symmetry_equiv_pos_as_xyz
'x,y,z'
loop_
_atom_site_label
_atom_site_type_symbol
_atom_site_fract_x
_atom_site_fract_y
_atom_site_fract_z
La1 La 0.0000 0.0000 0.0000
La2 La 0.2014 0.4360 0.6834
La3 La 0.7016 0.9409 0.5030
Tb1 Tb 0.5181 0.5126 0.1926
P1 P 0.2161 0.9143 0.5003
P2 P 0.4857 0.0236 0.0084
P3 P 0.7096 0.4193 0.6869
P4 P 0.9934 0.5236 0.1780
O1 O 0.0450 0.9703 0.3465
O2 O 0.0936 0.6020 0.0013
O3 O 0.1036 0.8361 0.6705
O4 O 0.1736 0.4726 0.3244
O5 O 0.2867 0.1812 0.9432
O6 O 0.3123 0.0919 0.5514
O7 O 0.3995 0.8392 0.0634
O8 O 0.4110 0.7464 0.4402
O9 O 0.5438 0.4669 0.8508
O10 O 0.5916 0.1136 0.1737
O11 O 0.5924 0.3512 0.5152
O12 O 0.6579 0.9702 0.8509
O13 O 0.7976 0.6913 0.2431
O14 O 0.8082 0.5964 0.6374
O15 O 0.8867 0.3489 0.1376
O16 O 0.9031 0.2457 0.7342
```

---

Starting from a PBE-relaxed structure, the X-ray diffraction stick pattern of LaTlP2O8 was simulated for λ = 1.5418 Å (Cu Kα).

Principal peaks in the range 10° ≤ 2θ ≤ 80°, by angle:
d/Å, I_rel
4.448, 100
3.818, 24
2.853, 87
2.568, 43
2.113, 39
1.909, 35
1.716, 16
1.681, 15
1.532, 27
1.506, 16

Structure:
```
data_LaTlP2O8
_symmetry_space_group_name_H-M 'P 1'
_symmetry_Int_Tables_number 1
_cell_length_a 5.1366
_cell_length_b 5.1366
_cell_length_c 7.4388
_cell_angle_alpha 90.00
_cell_angle_beta 90.00
_cell_angle_gamma 120.00
loop_
_symmetry_equiv_pos_as_xyz
'x,y,z'
loop_
_atom_site_label
_atom_site_type_symbol
_atom_site_fract_x
_atom_site_fract_y
_atom_site_fract_z
La1 La 0.0000 0.0000 0.0000
Tl1 Tl 0.0000 0.0000 0.5000
P1 P 0.3333 0.6667 0.7796
P2 P 0.6667 0.3333 0.2204
O1 O 0.1014 0.3432 0.7172
O2 O 0.2418 0.8986 0.7172
O3 O 0.3333 0.6667 0.9865
O4 O 0.3432 0.2418 0.2828
O5 O 0.6568 0.7582 0.7172
O6 O 0.6667 0.3333 0.0135
O7 O 0.7582 0.1014 0.2828
O8 O 0.8986 0.6568 0.2828
```

---

Starting from a PBE-relaxed structure, the X-ray diffraction stick pattern of La3PaO6 was simulated for λ = 1.5418 Å (Cu Kα).

Principal peaks in the range 10° ≤ 2θ ≤ 80°, by angle:
d/Å, I_rel
3.566, 58
3.198, 32
3.181, 64
2.927, 33
2.907, 100
2.260, 22
1.916, 24
1.907, 21
1.900, 53
1.783, 16

Structure:
```
data_La3PaO6
_symmetry_space_group_name_H-M 'P 1'
_symmetry_Int_Tables_number 1
_cell_length_a 7.1319
_cell_length_b 7.1319
_cell_length_c 7.1319
_cell_angle_alpha 89.63
_cell_angle_beta 89.63
_cell_angle_gamma 89.63
loop_
_symmetry_equiv_pos_as_xyz
'x,y,z'
loop_
_atom_site_label
_atom_site_type_symbol
_atom_site_fract_x
_atom_site_fract_y
_atom_site_fract_z
La1 La 0.0306 0.7439 0.5601
La2 La 0.2561 0.4399 0.9694
La3 La 0.4399 0.9694 0.2561
La4 La 0.5601 0.0306 0.7439
La5 La 0.7439 0.5601 0.0306
La6 La 0.9694 0.2561 0.4399
Pa1 Pa 0.0000 0.0000 0.0000
Pa2 Pa 0.5000 0.5000 0.5000
O1 O 0.0433 0.6995 0.9191
O2 O 0.0809 0.9567 0.3005
O3 O 0.1929 0.4488 0.6044
O4 O 0.3005 0.0809 0.9567
O5 O 0.3956 0.8071 0.5512
O6 O 0.4488 0.6044 0.1929
O7 O 0.5512 0.3956 0.8071
O8 O 0.6044 0.1929 0.4488
O9 O 0.6995 0.9191 0.0433
O10 O 0.8071 0.5512 0.3956
O11 O 0.9191 0.0433 0.6995
O12 O 0.9567 0.3005 0.0809
```

---

Starting from a PBE-relaxed structure, the X-ray diffraction stick pattern of LaPaO was simulated for λ = 1.5418 Å (Cu Kα).

Principal peaks in the range 10° ≤ 2θ ≤ 80°, by angle:
d/Å, I_rel
5.822, 32
3.244, 62
2.907, 75
2.374, 100
2.166, 20
1.800, 14
1.665, 14
1.649, 33
1.500, 13
1.455, 17

Structure:
```
data_LaPaO
_symmetry_space_group_name_H-M 'P 1'
_symmetry_Int_Tables_number 1
_cell_length_a 3.3839
_cell_length_b 6.6644
_cell_length_c 6.6644
_cell_angle_alpha 58.25
_cell_angle_beta 90.00
_cell_angle_gamma 90.00
loop_
_symmetry_equiv_pos_as_xyz
'x,y,z'
loop_
_atom_site_label
_atom_site_type_symbol
_atom_site_fract_x
_atom_site_fract_y
_atom_site_fract_z
La1 La 0.2500 0.2501 0.7499
La2 La 0.7500 0.7499 0.2501
Pa1 Pa 0.2500 0.9434 0.4431
Pa2 Pa 0.7500 0.4431 0.9434
O1 O 0.2500 0.5774 0.0786
O2 O 0.7500 0.0786 0.5774
```

---

Starting from a PBE-relaxed structure, the X-ray diffraction stick pattern of LaPaPb2O8 was simulated for λ = 1.5418 Å (Cu Kα).

Principal peaks in the range 10° ≤ 2θ ≤ 80°, by angle:
d/Å, I_rel
3.717, 100
2.990, 97
2.628, 30
1.974, 74
1.859, 17
1.662, 18
1.633, 20
1.579, 21
1.353, 18
1.227, 14

Structure:
```
data_LaPaPb2O8
_symmetry_space_group_name_H-M 'P 1'
_symmetry_Int_Tables_number 1
_cell_length_a 6.3916
_cell_length_b 6.3916
_cell_length_c 6.3916
_cell_angle_alpha 108.88
_cell_angle_beta 108.88
_cell_angle_gamma 110.66
loop_
_symmetry_equiv_pos_as_xyz
'x,y,z'
loop_
_atom_site_label
_atom_site_type_symbol
_atom_site_fract_x
_atom_site_fract_y
_atom_site_fract_z
La1 La 0.0000 0.0000 0.0000
Pa1 Pa 0.2500 0.7500 0.5000
Pb1 Pb 0.5000 0.5000 0.0000
Pb2 Pb 0.7500 0.2500 0.5000
O1 O 0.2992 0.0984 0.7992
O2 O 0.2992 0.4999 0.2008
O3 O 0.3506 0.0283 0.3223
O4 O 0.5001 0.7008 0.7992
O5 O 0.7060 0.0283 0.6777
O6 O 0.9016 0.7008 0.2008
O7 O 0.9717 0.2940 0.3223
O8 O 0.9717 0.6494 0.6777
```

---

Starting from a PBE-relaxed structure, the X-ray diffraction stick pattern of La3PbO2 was simulated for λ = 1.5418 Å (Cu Kα).

Principal peaks in the range 10° ≤ 2θ ≤ 80°, by angle:
d/Å, I_rel
3.055, 30
2.996, 100
2.431, 34
1.902, 31
1.752, 24
1.719, 12
1.498, 14
1.491, 25
1.293, 8
1.227, 15

Structure:
```
data_La3PbO2
_symmetry_space_group_name_H-M 'P 1'
_symmetry_Int_Tables_number 1
_cell_length_a 7.0108
_cell_length_b 7.0108
_cell_length_c 7.0108
_cell_angle_alpha 139.42
_cell_angle_beta 139.42
_cell_angle_gamma 58.73
loop_
_symmetry_equiv_pos_as_xyz
'x,y,z'
loop_
_atom_site_label
_atom_site_type_symbol
_atom_site_fract_x
_atom_site_fract_y
_atom_site_fract_z
La1 La 0.0000 0.0000 0.0000
La2 La 0.2500 0.7500 0.5000
La3 La 0.7500 0.2500 0.5000
Pb1 Pb 0.5000 0.5000 0.0000
O1 O 0.1977 0.1977 0.0000
O2 O 0.8023 0.8023 0.0000
```

---

Starting from a PBE-relaxed structure, the X-ray diffraction stick pattern of La3PrPb2O was simulated for λ = 1.5418 Å (Cu Kα).

Principal peaks in the range 10° ≤ 2θ ≤ 80°, by angle:
d/Å, I_rel
3.447, 30
3.216, 69
2.980, 34
2.729, 100
2.452, 33
2.423, 32
1.893, 18
1.880, 18
1.723, 23
1.492, 18

Structure:
```
data_La3PrPb2O
_symmetry_space_group_name_H-M 'P 1'
_symmetry_Int_Tables_number 1
_cell_length_a 9.5804
_cell_length_b 9.5804
_cell_length_c 9.5804
_cell_angle_alpha 150.70
_cell_angle_beta 150.34
_cell_angle_gamma 42.18
loop_
_symmetry_equiv_pos_as_xyz
'x,y,z'
loop_
_atom_site_label
_atom_site_type_symbol
_atom_site_fract_x
_atom_site_fract_y
_atom_site_fract_z
La1 La 0.0000 0.0000 0.0000
La2 La 0.1743 0.6743 0.5000
La3 La 0.8257 0.3257 0.5000
Pr1 Pr 0.5000 0.5000 0.0000
Pb1 Pb 0.3613 0.8613 0.5000
Pb2 Pb 0.6387 0.1387 0.5000
O1 O 0.0000 0.5000 0.5000
```

---

Starting from a PBE-relaxed structure, the X-ray diffraction stick pattern of LaSmPbO2 was simulated for λ = 1.5418 Å (Cu Kα).

Principal peaks in the range 10° ≤ 2θ ≤ 80°, by angle:
d/Å, I_rel
3.093, 100
2.824, 34
2.445, 12
1.997, 17
1.849, 26
1.678, 34
1.547, 12
1.509, 12
1.223, 7
1.204, 12

Structure:
```
data_LaSmPbO2
_symmetry_space_group_name_H-M 'P 1'
_symmetry_Int_Tables_number 1
_cell_length_a 7.8605
_cell_length_b 7.8605
_cell_length_c 7.8605
_cell_angle_alpha 150.56
_cell_angle_beta 150.56
_cell_angle_gamma 42.11
loop_
_symmetry_equiv_pos_as_xyz
'x,y,z'
loop_
_atom_site_label
_atom_site_type_symbol
_atom_site_fract_x
_atom_site_fract_y
_atom_site_fract_z
La1 La 0.0000 0.0000 0.0000
Sm1 Sm 0.6634 0.6634 0.0000
Pb1 Pb 0.3303 0.3303 0.0000
O1 O 0.0851 0.5851 0.5000
O2 O 0.5851 0.0851 0.5000
```

---

Starting from a PBE-relaxed structure, the X-ray diffraction stick pattern of Sr2La4Pb3O2 was simulated for λ = 1.5418 Å (Cu Kα).

Principal peaks in the range 10° ≤ 2θ ≤ 80°, by angle:
d/Å, I_rel
4.936, 27
3.666, 15
3.433, 21
3.046, 20
2.780, 100
2.511, 51
2.236, 18
1.776, 18
1.669, 18
1.496, 31

Structure:
```
data_Sr2La4Pb3O2
_symmetry_space_group_name_H-M 'P 1'
_symmetry_Int_Tables_number 1
_cell_length_a 13.8706
_cell_length_b 13.8706
_cell_length_c 13.8706
_cell_angle_alpha 159.14
_cell_angle_beta 159.14
_cell_angle_gamma 29.67
loop_
_symmetry_equiv_pos_as_xyz
'x,y,z'
loop_
_atom_site_label
_atom_site_type_symbol
_atom_site_fract_x
_atom_site_fract_y
_atom_site_fract_z
Sr1 Sr 0.1984 0.1984 0.0000
Sr2 Sr 0.8016 0.8016 0.0000
La1 La 0.0861 0.5861 0.5000
La2 La 0.4139 0.9139 0.5000
La3 La 0.5861 0.0861 0.5000
La4 La 0.9139 0.4139 0.5000
Pb1 Pb 0.3281 0.3281 0.0000
Pb2 Pb 0.5000 0.5000 0.0000
Pb3 Pb 0.6719 0.6719 0.0000
O1 O 0.0977 0.0977 0.0000
O2 O 0.9023 0.9023 0.0000
```

---

Starting from a PBE-relaxed structure, the X-ray diffraction stick pattern of La2TePbO8 was simulated for λ = 1.5418 Å (Cu Kα).

Principal peaks in the range 10° ≤ 2θ ≤ 80°, by angle:
d/Å, I_rel
3.740, 100
3.520, 71
2.934, 84
2.904, 79
2.563, 42
1.964, 34
1.955, 34
1.906, 26
1.882, 20
1.604, 17

Structure:
```
data_La2TePbO8
_symmetry_space_group_name_H-M 'P 1'
_symmetry_Int_Tables_number 1
_cell_length_a 5.1341
_cell_length_b 5.1379
_cell_length_c 7.1031
_cell_angle_alpha 90.59
_cell_angle_beta 90.59
_cell_angle_gamma 93.47
loop_
_symmetry_equiv_pos_as_xyz
'x,y,z'
loop_
_atom_site_label
_atom_site_type_symbol
_atom_site_fract_x
_atom_site_fract_y
_atom_site_fract_z
La1 La 0.0368 0.0363 0.2582
La2 La 0.9632 0.9637 0.7418
Te1 Te 0.5000 0.5000 0.5000
Pb1 Pb 0.5000 0.5000 0.0000
O1 O 0.2076 0.2088 0.9762
O2 O 0.2265 0.2287 0.5325
O3 O 0.2961 0.6469 0.2888
O4 O 0.3546 0.7057 0.7109
O5 O 0.6454 0.2943 0.2891
O6 O 0.7039 0.3531 0.7112
O7 O 0.7735 0.7713 0.4675
O8 O 0.7924 0.7912 0.0238
```

---

What did the fifth record say?
Starting from a PBE-relaxed structure, the X-ray diffraction stick pattern of LaPaPb2O8 was simulated for λ = 1.5418 Å (Cu Kα).

Principal peaks in the range 10° ≤ 2θ ≤ 80°, by angle:
d/Å, I_rel
3.717, 100
2.990, 97
2.628, 30
1.974, 74
1.859, 17
1.662, 18
1.633, 20
1.579, 21
1.353, 18
1.227, 14

Structure:
```
data_LaPaPb2O8
_symmetry_space_group_name_H-M 'P 1'
_symmetry_Int_Tables_number 1
_cell_length_a 6.3916
_cell_length_b 6.3916
_cell_length_c 6.3916
_cell_angle_alpha 108.88
_cell_angle_beta 108.88
_cell_angle_gamma 110.66
loop_
_symmetry_equiv_pos_as_xyz
'x,y,z'
loop_
_atom_site_label
_atom_site_type_symbol
_atom_site_fract_x
_atom_site_fract_y
_atom_site_fract_z
La1 La 0.0000 0.0000 0.0000
Pa1 Pa 0.2500 0.7500 0.5000
Pb1 Pb 0.5000 0.5000 0.0000
Pb2 Pb 0.7500 0.2500 0.5000
O1 O 0.2992 0.0984 0.7992
O2 O 0.2992 0.4999 0.2008
O3 O 0.3506 0.0283 0.3223
O4 O 0.5001 0.7008 0.7992
O5 O 0.7060 0.0283 0.6777
O6 O 0.9016 0.7008 0.2008
O7 O 0.9717 0.2940 0.3223
O8 O 0.9717 0.6494 0.6777
```